Record 1
Structure and theoretical X-ray diffraction stick pattern of NaTl2Bi3 (DFT lattice parameters and positions (PBE); Cu Kα, 1.54184 Å).

Most intense lines, 2θ = 15–90°, sorted by position:
| d (Å) | I/Imax |
| --- | --- |
| 2.908 | 100 |
| 2.871 | 95 |
| 2.618 | 40 |
| 2.450 | 62 |
| 1.808 | 14 |
| 1.790 | 12 |
| 1.786 | 12 |
| 1.773 | 12 |
| 1.495 | 14 |
| 1.487 | 13 |
| 1.480 | 19 |
| 1.454 | 12 |

Structure:
a = 6.087 Å, b = 6.093 Å, c = 11.032 Å
α = 98.99°, β = 99.19°, γ = 106.98°
Positions (direct):
Na 0.125 0.376 0.250
Na 0.875 0.624 0.750
Tl 0.213 0.958 0.416
Tl 0.458 0.715 0.915
Tl 0.542 0.285 0.085
Tl 0.787 0.042 0.584
Bi 0.023 0.788 0.073
Bi 0.293 0.526 0.573
Bi 0.359 0.140 0.751
Bi 0.641 0.860 0.249
Bi 0.707 0.474 0.427
Bi 0.977 0.212 0.927

=====

Record 2
Structure and theoretical X-ray diffraction stick pattern of La2Ga7Au (DFT lattice parameters and positions (PBE); Cu Kα, 1.54184 Å).

Most intense lines, 2θ = 15–90°, sorted by position:
| d (Å) | I/Imax |
| --- | --- |
| 3.170 | 34 |
| 2.750 | 90 |
| 2.710 | 100 |
| 2.242 | 80 |
| 2.016 | 23 |
| 1.894 | 35 |
| 1.738 | 46 |
| 1.585 | 27 |
| 1.526 | 14 |
| 1.447 | 29 |
| 1.368 | 23 |
| 1.128 | 17 |

Structure:
a = 4.484 Å, b = 4.484 Å, c = 10.446 Å
α = 90.00°, β = 90.00°, γ = 90.00°
Positions (direct):
La 0.000 0.000 0.000
La 0.500 0.500 0.500
Ga 0.000 0.000 0.388
Ga 0.000 0.000 0.626
Ga 0.000 0.500 0.256
Ga 0.000 0.500 0.755
Ga 0.500 0.000 0.256
Ga 0.500 0.000 0.755
Ga 0.500 0.500 0.889
Au 0.500 0.500 0.129

=====

Record 3
Structure and theoretical X-ray diffraction stick pattern of Na3HoNp3Te8 (DFT lattice parameters and positions (PBE); Cu Kα, 1.54184 Å).

Most intense lines, 2θ = 15–90°, sorted by position:
| d (Å) | I/Imax |
| --- | --- |
| 3.789 | 23 |
| 3.180 | 100 |
| 2.475 | 15 |
| 2.279 | 39 |
| 2.219 | 38 |
| 2.129 | 15 |
| 1.820 | 20 |
| 1.815 | 8 |
| 1.590 | 13 |
| 1.437 | 17 |
| 1.407 | 17 |
| 1.292 | 13 |

Structure:
a = 9.123 Å, b = 9.123 Å, c = 9.123 Å
α = 58.22°, β = 58.22°, γ = 58.22°
Positions (direct):
Na 0.000 0.500 0.500
Na 0.500 0.000 0.500
Na 0.500 0.500 0.000
Ho 0.500 0.500 0.500
Np 0.000 0.000 0.500
Np 0.000 0.500 0.000
Np 0.500 0.000 0.000
Te 0.244 0.244 0.244
Te 0.244 0.744 0.744
Te 0.256 0.256 0.756
Te 0.256 0.756 0.256
Te 0.744 0.244 0.744
Te 0.744 0.744 0.244
Te 0.756 0.256 0.256
Te 0.756 0.756 0.756